Structure and simulated PXRD pattern of Pm8DyEr4 (a crystal structure in Alexandria, relaxed with PBE; copper Kα).
Kinematic intensities with the Lorentz-polarization factor, no thermal factor.

Main lines, by intensity (15 to 90 degrees two-theta):
Position (°2θ), I (rel.)
31.09, 100
32.51, 35
38.13, 35
50.30, 29
28.07, 26
58.60, 19
28.58, 16
60.32, 14
50.64, 14
82.31, 10

Lattice parameters (Å, degrees): 10.4154 10.4154 10.4154 40.77 40.77 40.77
Fractional positions:
Pm 0.2055 0.7513 0.7513
Pm 0.2130 0.2130 0.2130
Pm 0.2487 0.2487 0.7945
Pm 0.2487 0.7945 0.2487
Pm 0.7513 0.2055 0.7513
Pm 0.7513 0.7513 0.2055
Pm 0.7870 0.7870 0.7870
Pm 0.7945 0.2487 0.2487
Dy 0.5000 0.5000 0.5000
Er 0.0000 0.0000 0.0000
Er 0.0000 0.5000 0.5000
Er 0.5000 0.0000 0.5000
Er 0.5000 0.5000 0.0000

***

Structure and simulated PXRD pattern of Pm10Dy4Er (a crystal structure in Alexandria, relaxed with PBE; copper Kα).
Kinematic intensities with the Lorentz-polarization factor, no thermal factor.

Main lines, by intensity (15 to 90 degrees two-theta):
Position (°2θ), I (rel.)
32.57, 100
58.12, 38
19.78, 29
38.40, 16
46.69, 12
68.23, 12
77.61, 11
22.87, 11
51.21, 7
46.81, 6

Lattice parameters (Å, degrees): 9.5268 9.5268 9.5268 99.56 99.56 131.91
Fractional positions:
Pm 0.0503 0.3498 0.8995
Pm 0.1507 0.0503 0.7005
Pm 0.2500 0.7500 0.5000
Pm 0.3498 0.4502 0.2995
Pm 0.4502 0.1507 0.1005
Pm 0.5498 0.8493 0.8995
Pm 0.6502 0.5498 0.7005
Pm 0.7500 0.2500 0.5000
Pm 0.8493 0.9497 0.2995
Pm 0.9497 0.6502 0.1005
Dy 0.1004 0.7005 0.8009
Dy 0.2995 0.1004 0.4000
Dy 0.7005 0.8996 0.6000
Dy 0.8996 0.2995 0.1991
Er 0.5000 0.5000 0.0000

***

Structure and simulated PXRD pattern of PmDy5Er7 (a crystal structure in Alexandria, relaxed with PBE; copper Kα).
Kinematic intensities with the Lorentz-polarization factor, no thermal factor.

Main lines, by intensity (15 to 90 degrees two-theta):
Position (°2θ), I (rel.)
31.12, 100
31.86, 80
35.17, 79
31.42, 56
58.05, 31
27.70, 30
36.11, 28
57.22, 26
26.82, 25
66.59, 22

Lattice parameters (Å, degrees): 8.6319 8.6319 8.6319 134.67 100.49 96.59
Fractional positions:
Pm 0.0000 0.0000 0.0000
Dy 0.0279 0.0325 0.4612
Dy 0.0279 0.5667 0.9954
Dy 0.5713 0.0325 0.0046
Dy 0.5713 0.5667 0.5388
Dy 0.7995 0.2995 0.5000
Er 0.2209 0.5511 0.6698
Er 0.3016 0.8016 0.5000
Er 0.3038 0.3038 0.0000
Er 0.3810 0.0501 0.3308
Er 0.6089 0.6089 0.0000
Er 0.7193 0.0501 0.6692
Er 0.8813 0.5511 0.3302

***

Structure and simulated PXRD pattern of PmDy6Er4 (a crystal structure in Alexandria, relaxed with PBE; copper Kα).
Kinematic intensities with the Lorentz-polarization factor, no thermal factor.

Main lines, by intensity (15 to 90 degrees two-theta):
Position (°2θ), I (rel.)
32.12, 100
30.55, 66
31.49, 64
30.77, 50
33.50, 48
56.51, 38
44.60, 36
32.31, 20
58.01, 13
60.62, 13

Lattice parameters (Å, degrees): 5.5751 5.5751 25.5706 90.00 90.00 118.73
Fractional positions:
Pm 0.1904 0.8096 0.7500
Pm 0.8096 0.1904 0.2500
Dy 0.1398 0.8602 0.1806
Dy 0.1398 0.8602 0.3194
Dy 0.1921 0.8079 0.6018
Dy 0.1921 0.8079 0.8982
Dy 0.4752 0.5248 0.2500
Dy 0.5000 0.5000 0.0000
Dy 0.5000 0.5000 0.5000
Dy 0.5248 0.4752 0.7500
Dy 0.8079 0.1921 0.1018
Dy 0.8079 0.1921 0.3982
Dy 0.8602 0.1398 0.6806
Dy 0.8602 0.1398 0.8194
Er 0.1563 0.8437 0.0422
Er 0.1563 0.8437 0.4578
Er 0.4689 0.5311 0.1214
Er 0.4689 0.5311 0.3786
Er 0.5311 0.4689 0.6214
Er 0.5311 0.4689 0.8786
Er 0.8437 0.1563 0.5422
Er 0.8437 0.1563 0.9578

***

Structure and simulated PXRD pattern of PmDyEr14 (a crystal structure in Alexandria, relaxed with PBE; copper Kα).
Kinematic intensities with the Lorentz-polarization factor, no thermal factor.

Main lines, by intensity (15 to 90 degrees two-theta):
Position (°2θ), I (rel.)
33.25, 100
30.24, 42
31.50, 34
61.83, 30
51.72, 26
37.79, 23
57.21, 21
62.89, 16
88.30, 16
85.69, 14

Lattice parameters (Å, degrees): 11.3595 7.0682 7.0682 60.03 90.00 90.00
Fractional positions:
Pm 0.0000 0.0000 0.0000
Dy 0.0000 0.5002 0.5002
Er 0.0000 0.0003 0.5002
Er 0.0000 0.5002 0.0003
Er 0.2505 0.6670 0.6670
Er 0.2517 0.1672 0.1672
Er 0.2523 0.1671 0.6666
Er 0.2523 0.6666 0.1671
Er 0.5000 0.3337 0.3337
Er 0.5000 0.3339 0.8338
Er 0.5000 0.8338 0.3339
Er 0.5000 0.8335 0.8335
Er 0.7483 0.1672 0.1672
Er 0.7477 0.1671 0.6666
Er 0.7477 0.6666 0.1671
Er 0.7495 0.6670 0.6670

***

Structure and simulated PXRD pattern of Pm8Dy5Er (a crystal structure in Alexandria, relaxed with PBE; copper Kα).
Kinematic intensities with the Lorentz-polarization factor, no thermal factor.

Main lines, by intensity (15 to 90 degrees two-theta):
Position (°2θ), I (rel.)
33.46, 100
29.19, 79
29.03, 71
27.75, 63
34.55, 54
34.15, 48
31.46, 25
62.36, 22
54.53, 20
60.52, 17

Lattice parameters (Å, degrees): 8.5392 8.5392 9.6731 124.47 124.47 73.56
Fractional positions:
Pm 0.0260 0.3307 0.0904
Pm 0.0690 0.0690 0.3959
Pm 0.2531 0.5715 0.7342
Pm 0.4285 0.7469 0.2658
Pm 0.5163 0.1364 0.2575
Pm 0.6693 0.9740 0.9096
Pm 0.8636 0.4837 0.7425
Pm 0.9310 0.9310 0.6041
Dy 0.0941 0.9059 0.0000
Dy 0.3146 0.2742 0.9026
Dy 0.5609 0.2236 0.6859
Dy 0.7258 0.6854 0.0974
Dy 0.7764 0.4391 0.3141
Er 0.3490 0.6510 0.5000